Diffraction record for Al19CrO30. The powder diffractogram is calculated, not measured: it uses a cell relaxed with PBE+U and Cu Kα, 1.54184 Å.

Structural model:
Cell: 4.821 5.192 19.984 Å, 85.61 89.98 62.35°
Fractional coordinates of all 50 atoms:
Al 0.000 0.000 0.000
Al 0.014 0.972 0.860
Al 0.099 0.801 0.298
Al 0.114 0.771 0.158
Al 0.200 0.599 0.602
Al 0.217 0.573 0.461
Al 0.300 0.400 0.901
Al 0.314 0.372 0.760
Al 0.400 0.199 0.199
Al 0.414 0.172 0.059
Al 0.502 0.001 0.502
Al 0.512 0.975 0.358
Al 0.600 0.800 0.801
Al 0.614 0.771 0.661
Al 0.700 0.600 0.100
Al 0.714 0.572 0.959
Al 0.813 0.371 0.258
Al 0.900 0.199 0.702
Al 0.915 0.172 0.562
Cr 0.798 0.406 0.400
O 0.035 0.625 0.819
O 0.040 0.225 0.919
O 0.063 0.485 0.681
O 0.151 0.086 0.781
O 0.170 0.349 0.542
O 0.179 0.947 0.642
O 0.242 0.826 0.520
O 0.254 0.221 0.420
O 0.262 0.086 0.279
O 0.340 0.696 0.380
O 0.374 0.946 0.140
O 0.379 0.547 0.240
O 0.434 0.825 0.018
O 0.440 0.425 0.118
O 0.463 0.686 0.880
O 0.551 0.286 0.980
O 0.573 0.547 0.742
O 0.579 0.147 0.842
O 0.634 0.424 0.621
O 0.641 0.024 0.720
O 0.658 0.286 0.485
O 0.752 0.884 0.582
O 0.771 0.140 0.337
O 0.784 0.754 0.442
O 0.834 0.025 0.216
O 0.839 0.627 0.316
O 0.863 0.886 0.079
O 0.951 0.485 0.179
O 0.973 0.747 0.941
O 0.979 0.347 0.041

The 10 most intense peaks (10° ≤ 2θ ≤ 90°), low angle first:
d 3.525, rel. 61, hkl 1 1 -3
d 2.583, rel. 97, hkl -1 1 1
d 2.411, rel. 47, hkl 2 1 0
d 2.113, rel. 93, hkl 2 0 1
d 1.763, rel. 50, hkl 2 0 6
d 1.622, rel. 100, hkl 2 3 -2
d 1.423, rel. 41, hkl -2 1 8
d 1.392, rel. 62, hkl 3 2 7
d 1.254, rel. 19, hkl 1 4 -1
d 1.093, rel. 11, hkl 4 1 6